For Na5B8C2, a structure optimized by DFT (GGA-PBE) gives the theoretical powder diffractogram in this record (Cu Kα (weighted mean of Kα1 and Kα2)).
Lines closer than 0.1° are merged.

Peak list (10 most intense, 10 to 90 degrees two-theta, low angle first)
2θ/deg	d (Å)	I (rel.)
33.86	2.647	14
36.19	2.482	17
39.90	2.259	49
41.67	2.168	38
41.94	2.154	100
56.35	1.633	10
62.11	1.494	17
76.24	1.249	13
77.59	1.230	16
80.50	1.193	9

Cell lengths 13.3098, 13.3098, 8.6706 Å; angles 90.00, 90.00, 167.88 degrees
Atoms (fractional coordinates):
Na 0.0000 0.0000 0.0000
Na 0.0000 0.0000 0.5000
Na 0.2009 0.7991 0.5014
Na 0.2009 0.7991 0.9986
Na 0.3984 0.6016 0.0023
Na 0.3984 0.6016 0.4977
Na 0.6016 0.3984 0.5023
Na 0.6016 0.3984 0.9977
Na 0.7991 0.2009 0.0014
Na 0.7991 0.2009 0.4986
B 0.0700 0.9300 0.7500
B 0.0777 0.9223 0.2500
B 0.1341 0.8659 0.7500
B 0.2587 0.7413 0.2500
B 0.3254 0.6746 0.2500
B 0.3327 0.6673 0.7500
B 0.4640 0.5360 0.7500
B 0.4729 0.5271 0.2500
B 0.5271 0.4729 0.7500
B 0.5360 0.4640 0.2500
B 0.6673 0.3327 0.2500
B 0.6746 0.3254 0.7500
B 0.7413 0.2587 0.7500
B 0.8659 0.1341 0.2500
B 0.9223 0.0777 0.7500
B 0.9300 0.0700 0.2500
C 0.1364 0.8636 0.2500
C 0.2717 0.7283 0.7500
C 0.7283 0.2717 0.2500
C 0.8636 0.1364 0.7500